1.
Computed X-ray diffraction stick pattern
Compound: CaHo2UP4
Radiation: a wavelength of 1.5418 Å
Structure: a cell relaxed with PBE
Kinematic intensities with the Lorentz-polarization factor, no thermal factor.

Crystal structure
Lattice parameters (Å, degrees): 5.6524 5.6524 11.2980 90.00 90.00 90.00
Space group I-4m2 (No. 119)
One atom of each set of equivalent atoms:
Ca 0.0000 0.0000 0.0000
Ho 0.0000 0.0000 0.5000
Ho 0.0000 0.5000 0.2500
U 0.0000 0.5000 0.7500
P 0.0000 0.0000 0.2546
P 0.0000 0.5000 0.5091

Most intense lines, 2θ from 15° to 90°, low angle first:
2theta	Rel. int.
15.7	11
17.5	20
22.2	10
27.3	82
31.7	100
45.4	73
53.8	41
56.4	25
66.1	12
73.0	17
75.2	33
83.9	25

***

2.
Computed X-ray diffraction stick pattern
Compound: Er5TeSe4
Radiation: a wavelength of 1.5418 Å
Structure: a cell relaxed with PBE
Kinematic intensities with the Lorentz-polarization factor, no thermal factor.

Crystal structure
Lattice parameters (Å, degrees): 4.0992 4.0992 50.0766 90.00 90.00 120.00
Space group R-3m (No. 166, hexagonal axes)
One atom of each set of equivalent atoms:
Er 0.0000 0.0000 0.0000
Er 0.0000 0.0000 0.2062
Er 0.0000 0.0000 0.3985
Te 0.0000 0.0000 0.5000
Se 0.0000 0.0000 0.0965
Se 0.0000 0.0000 0.3011

Most intense lines, 2θ from 15° to 90°, low angle first:
2theta	Rel. int.
26.7	17
30.9	100
44.2	71
52.4	6
54.9	20
55.0	4
64.3	11
73.0	17
73.1	11
78.4	3
81.3	18
81.5	3

***

3.
Computed X-ray diffraction stick pattern
Compound: CuBi2S4
Radiation: a wavelength of 1.5418 Å
Structure: a cell relaxed with PBE
Kinematic intensities with the Lorentz-polarization factor, no thermal factor.

Crystal structure
Lattice parameters (Å, degrees): 13.0377 4.1108 13.5916 90.00 90.00 90.00
Space group Pnma (No. 62)
One atom of each set of equivalent atoms:
Cu 0.1509 0.2500 0.1234
Bi 0.1165 0.2500 0.4322
Bi 0.1205 0.2500 0.8173
S 0.0132 0.7500 0.9035
S 0.0205 0.2500 0.6235
S 0.2362 0.2500 0.2616
S 0.2418 0.2500 0.9847

Most intense lines, 2θ from 15° to 90°, low angle first:
2theta	Rel. int.
20.8	27
23.9	40
24.3	20
25.6	100
27.4	20
29.3	23
36.0	20
40.5	27
43.2	20
44.1	19
46.3	21
50.8	18

***

4.
Computed X-ray diffraction stick pattern
Compound: K2Cd2Rh
Radiation: a wavelength of 1.5418 Å
Structure: a cell relaxed with PBE
Kinematic intensities with the Lorentz-polarization factor, no thermal factor.

Crystal structure
Lattice parameters (Å, degrees): 7.1556 7.1556 5.8410 90.00 90.00 90.00
Space group P4/mbm (No. 127)
One atom of each set of equivalent atoms:
K 0.1813 0.3187 0.0000
Cd 0.1556 0.6556 0.5000
Rh 0.0000 0.0000 0.5000

Most intense lines, 2θ from 15° to 90°, low angle first:
2theta	Rel. int.
15.2	87
27.9	19
30.6	45
31.9	100
39.8	35
41.9	13
42.9	32
51.1	33
55.2	34
73.0	15
77.8	12
89.2	14

***

5.
Computed X-ray diffraction stick pattern
Compound: Sr2PmAl2As4
Radiation: a wavelength of 1.5418 Å
Structure: a cell relaxed with PBE
Kinematic intensities with the Lorentz-polarization factor, no thermal factor.

Crystal structure
Lattice parameters (Å, degrees): 15.4711 4.1905 7.5123 90.00 108.65 90.00
Space group C2/m (No. 12)
One atom of each set of equivalent atoms:
Sr 0.1274 0.0000 0.0520
Pm 0.0000 0.0000 0.5000
Al 0.1733 0.5000 0.4850
As 0.0234 0.5000 0.2362
As 0.2112 0.0000 0.6975

Most intense lines, 2θ from 15° to 90°, low angle first:
2theta	Rel. int.
24.1	20
24.4	19
28.2	26
30.8	55
32.1	100
33.2	51
33.7	31
36.2	60
43.2	39
48.0	20
52.7	23
54.0	26

***

6.
Computed X-ray diffraction stick pattern
Compound: Np2SnSb2
Radiation: a wavelength of 1.5418 Å
Structure: a cell relaxed with PBE
Kinematic intensities with the Lorentz-polarization factor, no thermal factor.

Crystal structure
Lattice parameters (Å, degrees): 5.0458 5.0458 12.5905 90.00 90.00 120.00
Space group P6_3/mmc (No. 194)
One atom of each set of equivalent atoms:
Np 0.3333 0.6667 0.1107
Sn 0.0000 0.0000 0.2500
Sb 0.0000 0.0000 0.0000
Sb 0.3333 0.6667 0.7500

Most intense lines, 2θ from 15° to 90°, low angle first:
2theta	Rel. int.
21.5	23
29.5	98
35.1	48
35.6	100
46.9	28
50.9	17
60.2	27
63.6	18
63.9	19
70.5	21
75.3	12
82.9	11

***

7.
Computed X-ray diffraction stick pattern
Compound: NaY2Br2
Radiation: a wavelength of 1.5418 Å
Structure: a cell relaxed with PBE
Kinematic intensities with the Lorentz-polarization factor, no thermal factor.

Crystal structure
Lattice parameters (Å, degrees): 4.5731 4.5731 15.0706 90.00 90.00 90.00
Space group I4/mmm (No. 139)
One atom of each set of equivalent atoms:
Na 0.0000 0.0000 0.0000
Y 0.0000 0.5000 0.2500
Br 0.0000 0.0000 0.3871

Most intense lines, 2θ from 15° to 90°, low angle first:
2theta	Rel. int.
20.3	47
26.4	31
30.1	93
35.7	48
36.6	100
39.4	57
54.2	36
57.0	19
64.0	22
65.8	18
68.7	15
69.6	29

***

8.
Computed X-ray diffraction stick pattern
Compound: AcSbPtO6
Radiation: a wavelength of 1.5418 Å
Structure: a cell relaxed with PBE
Kinematic intensities with the Lorentz-polarization factor, no thermal factor.

Crystal structure
Lattice parameters (Å, degrees): 5.0787 5.0787 9.9856 90.00 90.00 90.00
Space group P4_2nm (No. 102)
One atom of each set of equivalent atoms:
Ac 0.0000 0.0000 0.0000
Sb 0.0000 0.0000 0.3361
Pt 0.0000 0.0000 0.6725
O 0.1665 0.1665 0.5059
O 0.2089 0.2089 0.1933
O 0.2171 0.2171 0.8193

Most intense lines, 2θ from 15° to 90°, low angle first:
2theta	Rel. int.
19.6	8
24.8	100
32.2	87
35.3	28
48.5	68
50.9	17
57.4	18
61.4	35
67.3	10
72.9	17
78.3	9
83.7	26

***

9.
Computed X-ray diffraction stick pattern
Compound: Ac3Sn4Ir4
Radiation: a wavelength of 1.5418 Å
Structure: a cell relaxed with PBE
Kinematic intensities with the Lorentz-polarization factor, no thermal factor.

Crystal structure
Lattice parameters (Å, degrees): 4.2872 8.0334 15.3187 90.00 90.00 90.00
Space group Immm (No. 71)
One atom of each set of equivalent atoms:
Ac 0.0000 0.0000 0.0000
Ac 0.0000 0.5000 0.1143
Sn 0.0000 0.3029 0.3254
Ir 0.0000 0.0000 0.2227
Ir 0.0000 0.2188 0.5000

Most intense lines, 2θ from 15° to 90°, low angle first:
2theta	Rel. int.
31.1	100
31.2	33
33.3	72
37.9	18
41.5	15
41.9	13
42.2	31
42.7	18
45.1	14
53.4	18
63.5	14
66.8	18

***

10.
Computed X-ray diffraction stick pattern
Compound: TbErGe2
Radiation: a wavelength of 1.5418 Å
Structure: a cell relaxed with PBE
Kinematic intensities with the Lorentz-polarization factor, no thermal factor.

Crystal structure
Lattice parameters (Å, degrees): 3.9643 4.2739 10.7102 90.00 90.00 90.00
Space group Amm2 (No. 38)
One atom of each set of equivalent atoms:
Tb 0.0000 0.0000 0.0000
Er 0.5000 0.0000 0.2758
Ge 0.0000 0.0000 0.7240
Ge 0.5000 0.0000 0.5524

Most intense lines, 2θ from 15° to 90°, low angle first:
2theta	Rel. int.
28.0	23
31.9	100
32.7	32
33.5	32
40.0	52
42.3	25
45.8	20
55.0	16
57.4	13
57.9	13
64.1	14
75.8	16